Structure and theoretical X-ray diffraction stick pattern of NaSi2I (DFT lattice parameters and positions (PBE); copper Kα).
No peak broadening, texture or thermal motion is included.

Structural model:
```
4
Lattice="0.000 3.622 3.622 3.622 0.000 3.622 3.622 3.622 0.000" Properties=species:S:1:pos:R:3 pbc="T T T"
Na 0.000 0.000 0.000
Si 1.811 1.811 1.811
Si 5.433 5.433 5.433
I 3.622 3.622 3.622
```

The 10 most intense peaks (15° ≤ 2θ ≤ 90°), by angle:
21.24°, I 57; 24.58°, I 24; 35.04°, I 100; 41.34°, I 30; 50.39°, I 17; 55.27°, I 13; 62.84°, I 35; 74.03°, I 11; 78.04°, I 10; 84.61°, I 15